Starting from the PBE geometry in Alexandria, the powder XRD pattern of Pm3Pa4Se8 was calculated for Cu Kα (λ = 1.5418 Å).
Kinematic intensities with the Lorentz-polarization factor, no thermal factor.

The 8 most intense peaks (2θ from 10° to 90°), most intense first:
- d 2.902, I = 100
- d 2.052, I = 50
- d 1.298, I = 17
- d 1.683, I = 13
- d 1.667, I = 13
- d 2.067, I = 13
- d 2.037, I = 12
- d 3.367, I = 12

Structural model:
a = 8.205 Å, b = 8.205 Å, c = 8.148 Å
α = 119.72°, β = 119.72°, γ = 90.06°
Atoms (fractional coordinates):
Pm  0.000  0.000  0.000
Pm  0.000  0.500  0.000
Pm  0.500  0.000  0.000
Pa  0.000  0.500  0.500
Pa  0.500  0.000  0.500
Pa  0.500  0.500  0.000
Pa  0.500  0.500  0.500
Se  0.244  0.244  0.504
Se  0.244  0.756  0.500
Se  0.249  0.249  0.992
Se  0.251  0.749  0.000
Se  0.749  0.251  0.000
Se  0.751  0.751  0.008
Se  0.756  0.244  0.500
Se  0.756  0.756  0.496



Starting from the PBE geometry in Alexandria, the powder XRD pattern of Hg2HAu was calculated for Cu Kα (λ = 1.5418 Å).
Kinematic intensities with the Lorentz-polarization factor, no thermal factor.

The 8 most intense peaks (2θ from 10° to 90°), most intense first:
- d 3.463, I = 100
- d 2.778, I = 58
- d 2.753, I = 56
- d 2.468, I = 42
- d 2.202, I = 30
- d 2.189, I = 29
- d 2.145, I = 28
- d 2.112, I = 27

Structural model:
a = 3.466 Å, b = 4.937 Å, c = 5.568 Å
α = 64.20°, β = 87.53°, γ = 88.88°
Atoms (fractional coordinates):
Hg  0.007  0.164  0.173
Hg  0.993  0.836  0.827
H  0.500  0.500  0.500
Au  0.000  0.500  0.500



Starting from the PBE geometry in Alexandria, the powder XRD pattern of Tb12Ho3Mg was calculated for Cu Kα (λ = 1.5418 Å).
Kinematic intensities with the Lorentz-polarization factor, no thermal factor.

The 8 most intense peaks (2θ from 10° to 90°), most intense first:
- d 2.887, I = 100
- d 2.497, I = 34
- d 1.507, I = 28
- d 1.769, I = 24
- d 2.507, I = 17
- d 1.511, I = 14
- d 1.444, I = 12
- d 1.766, I = 12

Structural model:
a = 4.995 Å, b = 4.995 Å, c = 20.054 Å
α = 90.00°, β = 90.00°, γ = 90.00°
Atoms (fractional coordinates):
Tb  0.000  0.000  0.000
Tb  0.000  0.000  0.246
Tb  0.000  0.000  0.500
Tb  0.000  0.000  0.754
Tb  0.000  0.500  0.123
Tb  0.000  0.500  0.374
Tb  0.000  0.500  0.626
Tb  0.000  0.500  0.877
Tb  0.500  0.000  0.123
Tb  0.500  0.000  0.374
Tb  0.500  0.000  0.626
Tb  0.500  0.000  0.877
Ho  0.500  0.500  0.248
Ho  0.500  0.500  0.500
Ho  0.500  0.500  0.752
Mg  0.500  0.500  0.000



Starting from the PBE geometry in Alexandria, the powder XRD pattern of Ti4Al3Mo was calculated for Cu Kα (λ = 1.5418 Å).
Kinematic intensities with the Lorentz-polarization factor, no thermal factor.

The 8 most intense peaks (2θ from 10° to 90°), most intense first:
- d 2.293, I = 100
- d 2.140, I = 40
- d 1.263, I = 26
- d 7.027, I = 20
- d 1.358, I = 17
- d 3.655, I = 13
- d 1.513, I = 13
- d 1.757, I = 10

Structural model:
a = 4.279 Å, b = 4.279 Å, c = 7.027 Å
α = 90.00°, β = 90.00°, γ = 90.00°
Atoms (fractional coordinates):
Ti  0.000  0.500  0.242
Ti  0.000  0.500  0.758
Ti  0.500  0.000  0.242
Ti  0.500  0.000  0.758
Al  0.000  0.000  0.000
Al  0.000  0.000  0.500
Al  0.500  0.500  0.500
Mo  0.500  0.500  0.000



Starting from the PBE geometry in Alexandria, the powder XRD pattern of SrPrCu2Sb2 was calculated for Cu Kα (λ = 1.5418 Å).
Kinematic intensities with the Lorentz-polarization factor, no thermal factor.

The 8 most intense peaks (2θ from 10° to 90°), most intense first:
- d 2.906, I = 100
- d 2.236, I = 51
- d 1.567, I = 27
- d 1.772, I = 23
- d 1.389, I = 20
- d 2.198, I = 14
- d 8.791, I = 11
- d 3.544, I = 9

Structural model:
a = 4.472 Å, b = 4.472 Å, c = 8.791 Å
α = 90.00°, β = 90.00°, γ = 120.00°
Atoms (fractional coordinates):
Sr  0.000  0.000  0.000
Pr  0.000  0.000  0.500
Cu  0.333  0.667  0.715
Cu  0.667  0.333  0.285
Sb  0.333  0.667  0.255
Sb  0.667  0.333  0.745



Starting from the PBE geometry in Alexandria, the powder XRD pattern of Rb5Y2Cl12 was calculated for Cu Kα (λ = 1.5418 Å).
Kinematic intensities with the Lorentz-polarization factor, no thermal factor.

The 8 most intense peaks (2θ from 10° to 90°), most intense first:
- d 8.099, I = 100
- d 3.139, I = 92
- d 3.892, I = 81
- d 3.583, I = 67
- d 2.567, I = 65
- d 7.918, I = 64
- d 2.477, I = 63
- d 3.317, I = 58

Structural model:
a = 9.465 Å, b = 9.465 Å, c = 8.250 Å
α = 99.32°, β = 99.32°, γ = 63.12°
Atoms (fractional coordinates):
Rb  0.000  0.000  0.000
Rb  0.247  0.247  0.488
Rb  0.366  0.366  0.982
Rb  0.634  0.634  0.018
Rb  0.753  0.753  0.512
Y  0.248  0.752  0.500
Y  0.752  0.248  0.500
Cl  0.077  0.077  0.653
Cl  0.098  0.700  0.722
Cl  0.161  0.552  0.284
Cl  0.300  0.902  0.278
Cl  0.448  0.839  0.716
Cl  0.458  0.458  0.662
Cl  0.542  0.542  0.338
Cl  0.552  0.161  0.284
Cl  0.700  0.098  0.722
Cl  0.839  0.448  0.716
Cl  0.902  0.300  0.278
Cl  0.923  0.923  0.347



Starting from the PBE geometry in Alexandria, the powder XRD pattern of PrY3Sn2 was calculated for Cu Kα (λ = 1.5418 Å).
Kinematic intensities with the Lorentz-polarization factor, no thermal factor.

The 8 most intense peaks (2θ from 10° to 90°), most intense first:
- d 2.861, I = 100
- d 2.971, I = 77
- d 2.318, I = 58
- d 2.570, I = 55
- d 3.038, I = 43
- d 2.410, I = 39
- d 2.708, I = 38
- d 3.187, I = 35

Structural model:
a = 9.381 Å, b = 9.381 Å, c = 9.534 Å
α = 112.68°, β = 112.68°, γ = 28.61°
Atoms (fractional coordinates):
Pr  0.115  0.115  0.134
Pr  0.885  0.885  0.866
Y  0.056  0.056  0.691
Y  0.309  0.309  0.109
Y  0.354  0.354  0.517
Y  0.646  0.646  0.483
Y  0.691  0.691  0.891
Y  0.944  0.944  0.309
Sn  0.242  0.242  0.715
Sn  0.490  0.490  0.147
Sn  0.510  0.510  0.853
Sn  0.758  0.758  0.285



Starting from the PBE geometry in Alexandria, the powder XRD pattern of PmBe4Pb3O12 was calculated for Cu Kα (λ = 1.5418 Å).
Kinematic intensities with the Lorentz-polarization factor, no thermal factor.

The 8 most intense peaks (2θ from 10° to 90°), most intense first:
- d 3.949, I = 100
- d 3.022, I = 72
- d 2.610, I = 29
- d 5.218, I = 27
- d 2.133, I = 26
- d 1.879, I = 25
- d 1.974, I = 18
- d 3.149, I = 18

Structural model:
a = 6.606 Å, b = 6.606 Å, c = 6.606 Å
α = 104.34°, β = 104.34°, γ = 104.34°
Atoms (fractional coordinates):
Pm  0.000  0.000  0.000
Be  0.055  0.500  0.945
Be  0.500  0.500  0.500
Be  0.500  0.945  0.055
Be  0.945  0.055  0.500
Pb  0.000  0.547  0.453
Pb  0.453  0.000  0.547
Pb  0.547  0.453  0.000
O  0.029  0.650  0.800
O  0.093  0.907  0.500
O  0.200  0.350  0.971
O  0.350  0.971  0.200
O  0.353  0.647  0.500
O  0.500  0.093  0.907
O  0.500  0.353  0.647
O  0.647  0.500  0.353
O  0.650  0.800  0.029
O  0.800  0.029  0.650
O  0.907  0.500  0.093
O  0.971  0.200  0.350



Starting from the PBE geometry in Alexandria, the powder XRD pattern of Tb4YHo7 was calculated for Cu Kα (λ = 1.5418 Å).
Kinematic intensities with the Lorentz-polarization factor, no thermal factor.

The 8 most intense peaks (2θ from 10° to 90°), most intense first:
- d 2.811, I = 100
- d 2.765, I = 51
- d 2.861, I = 37
- d 2.923, I = 34
- d 2.745, I = 32
- d 1.604, I = 24
- d 2.722, I = 22
- d 2.780, I = 15

Structural model:
a = 6.483 Å, b = 6.773 Å, c = 9.009 Å
α = 85.78°, β = 76.94°, γ = 81.94°
Atoms (fractional coordinates):
Tb  0.138  0.307  0.285
Tb  0.340  0.884  0.690
Tb  0.660  0.116  0.310
Tb  0.862  0.693  0.715
Y  0.500  0.500  0.000
Ho  0.015  0.251  0.948
Ho  0.184  0.799  0.359
Ho  0.310  0.394  0.613
Ho  0.500  0.000  0.000
Ho  0.690  0.606  0.387
Ho  0.816  0.201  0.641
Ho  0.985  0.749  0.052



Starting from the PBE geometry in Alexandria, the powder XRD pattern of CaTl2Bi6 was calculated for Cu Kα (λ = 1.5418 Å).
Kinematic intensities with the Lorentz-polarization factor, no thermal factor.

The 8 most intense peaks (2θ from 10° to 90°), most intense first:
- d 2.883, I = 100
- d 2.791, I = 73
- d 2.005, I = 29
- d 1.454, I = 26
- d 1.647, I = 26
- d 2.190, I = 21
- d 1.665, I = 20
- d 1.095, I = 14

Structural model:
a = 6.679 Å, b = 6.679 Å, c = 6.673 Å
α = 96.77°, β = 96.77°, γ = 96.92°
Atoms (fractional coordinates):
Ca  0.000  0.000  0.000
Tl  0.338  0.338  0.338
Tl  0.662  0.662  0.662
Bi  0.160  0.500  0.840
Bi  0.160  0.840  0.500
Bi  0.500  0.160  0.840
Bi  0.500  0.840  0.160
Bi  0.840  0.160  0.500
Bi  0.840  0.500  0.160